No. 1
Starting from DFT lattice parameters and positions (GGA-PBE), the powder diffraction line list of Rb2In6Au3 was simulated for a wavelength of 1.5418 Å.
Peak positions follow from Bragg's law for the DFT cell and can differ from measured ones.

Largest 10 diffraction maxima, in order of falling intensity, 10° ≤ 2θ ≤ 90°:
hkl 1 1 1, 2θ = 27.49°, d 3.245, I = 100
hkl 2 1 1, 2θ = 36.55°, d 2.458, I = 77
hkl 3 0 0, 2θ = 35.76°, d 2.511, I = 61
hkl 1 1 0, 2θ = 20.42°, d 4.350, I = 58
hkl 3 0 1, 2θ = 40.41°, d 2.232, I = 54
hkl 0 0 2, 2θ = 36.90°, d 2.436, I = 45
hkl 3 0 2, 2θ = 52.32°, d 1.748, I = 41
hkl 4 1 1, 2θ = 59.33°, d 1.558, I = 34
hkl 2 2 1, 2θ = 45.68°, d 1.986, I = 24
hkl 0 0 1, 2θ = 18.21°, d 4.872, I = 20

```
data_Rb2In6Au3
_symmetry_space_group_name_H-M 'P -6 2 m'
_symmetry_Int_Tables_number 189
_symmetry_space_group_name_Hall 'P -6 -2'
_cell_length_a 8.6990
_cell_length_b 8.6990
_cell_length_c 4.8720
_cell_angle_alpha 90.00
_cell_angle_beta 90.00
_cell_angle_gamma 120.00
loop_
_atom_site_label
_atom_site_type_symbol
_atom_site_fract_x
_atom_site_fract_y
_atom_site_fract_z
Rb1 Rb 0.3333 0.6667 0.0000
In1 In 0.0000 0.2007 0.0000
In2 In 0.0000 0.6927 0.5000
Au1 Au 0.0000 0.3658 0.5000
```


No. 2
Starting from DFT lattice parameters and positions (GGA-PBE), the powder diffraction line list of Y2Sb2Cl was simulated for a wavelength of 1.5418 Å.
Peak positions follow from Bragg's law for the DFT cell and can differ from measured ones.

Largest 10 diffraction maxima, in order of falling intensity, 10° ≤ 2θ ≤ 90°:
hkl 2 1 1, 2θ = 32.72°, d 2.737, I = 100
hkl 3 1 0, 2θ = 36.02°, d 2.493, I = 25
hkl 1 1 0, 2θ = 15.90°, d 5.575, I = 19
hkl 0 0 2, 2θ = 41.60°, d 2.171, I = 14
hkl 3 1 2, 2θ = 56.18°, d 1.637, I = 13
hkl 5 2 1, 2θ = 67.52°, d 1.387, I = 13
hkl 1 1 1, 2θ = 26.01°, d 3.425, I = 11
hkl 2 1 3, 2θ = 70.32°, d 1.339, I = 10
hkl 4 1 1, 2θ = 52.28°, d 1.750, I = 8
hkl 4 0 0, 2θ = 46.05°, d 1.971, I = 7

```
data_Y2Sb2Cl
_symmetry_space_group_name_H-M 'P 4/m b m'
_symmetry_Int_Tables_number 127
_symmetry_space_group_name_Hall '-P 4 2ab'
_cell_length_a 7.884
_cell_length_b 7.884
_cell_length_c 4.341
_cell_angle_alpha 90.00
_cell_angle_beta 90.00
_cell_angle_gamma 90.00
loop_
_atom_site_label
_atom_site_type_symbol
_atom_site_fract_x
_atom_site_fract_y
_atom_site_fract_z
Y1 Y 0.171 0.329 0.000
Sb1 Sb 0.132 0.632 0.500
Cl1 Cl 0.000 0.000 0.000
```


No. 3
Starting from DFT lattice parameters and positions (GGA-PBE), the powder diffraction line list of DyTmSbO2 was simulated for a wavelength of 1.5418 Å.
Peak positions follow from Bragg's law for the DFT cell and can differ from measured ones.

Largest 10 diffraction maxima, in order of falling intensity, 10° ≤ 2θ ≤ 90°:
hkl 1 0 3, 2θ = 30.89°, d 2.895, I = 100
hkl 1 1 0, 2θ = 33.09°, d 2.707, I = 36
hkl 2 1 3, 2θ = 57.74°, d 1.597, I = 34
hkl 1 1 6, 2θ = 53.51°, d 1.713, I = 24
hkl 2 0 0, 2θ = 47.49°, d 1.914, I = 17
hkl 2 1 9, 2θ = 87.27°, d 1.117, I = 11
hkl 2 0 6, 2θ = 64.37°, d 1.447, I = 11
hkl 1 0 9, 2θ = 68.17°, d 1.376, I = 10
hkl 0 0 6, 2θ = 40.81°, d 2.211, I = 10
hkl 3 0 3, 2θ = 77.91°, d 1.226, I = 7

```
data_DyTmSbO2
_symmetry_space_group_name_H-M 'I 4 m m'
_symmetry_Int_Tables_number 107
_symmetry_space_group_name_Hall 'I 4 -2'
_cell_length_a 3.829
_cell_length_b 3.829
_cell_length_c 13.266
_cell_angle_alpha 90.00
_cell_angle_beta 90.00
_cell_angle_gamma 90.00
loop_
_atom_site_label
_atom_site_type_symbol
_atom_site_fract_x
_atom_site_fract_y
_atom_site_fract_z
Dy1 Dy 0.000 0.000 0.000
Tm1 Tm 0.000 0.000 0.333
Sb1 Sb 0.000 0.000 0.667
O1 O 0.000 0.500 0.414
```


No. 4
Starting from DFT lattice parameters and positions (GGA-PBE), the powder diffraction line list of Ba2PrThAs4 was simulated for a wavelength of 1.5418 Å.
Peak positions follow from Bragg's law for the DFT cell and can differ from measured ones.

Largest 10 diffraction maxima, in order of falling intensity, 10° ≤ 2θ ≤ 90°:
hkl 1 1 1, 2θ = 27.97°, d 3.190, I = 100
hkl 0 2 0, 2θ = 40.49°, d 2.228, I = 38
hkl 1 1 -3, 2θ = 39.45°, d 2.284, I = 37
hkl 2 0 0, 2θ = 24.37°, d 3.653, I = 17
hkl 0 2 4, 2θ = 64.68°, d 1.441, I = 15
hkl 2 2 -2, 2θ = 49.96°, d 1.825, I = 13
hkl 2 2 2, 2θ = 57.81°, d 1.595, I = 12
hkl 4 2 0, 2θ = 66.12°, d 1.413, I = 12
hkl 4 2 -4, 2θ = 72.91°, d 1.298, I = 8
hkl 0 0 1, 2θ = 11.71°, d 7.559, I = 8

```
data_Ba2PrThAs4
_symmetry_space_group_name_H-M 'P 1 2/m 1'
_symmetry_Int_Tables_number 10
_cell_length_a 7.728
_cell_length_b 4.450
_cell_length_c 7.985
_cell_angle_alpha 90.00
_cell_angle_beta 108.80
_cell_angle_gamma 90.00
loop_
_symmetry_equiv_pos_as_xyz
'x,y,z'
'-x,-y,-z'
'-x,y,-z'
'x,-y,z'
loop_
_atom_site_label
_atom_site_type_symbol
_atom_site_fract_x
_atom_site_fract_y
_atom_site_fract_z
Ba1 Ba 0.000 0.000 0.000
Ba2 Ba 0.500 0.500 0.000
Pr1 Pr 0.000 0.500 0.500
Th1 Th 0.500 0.000 0.500
As1 As 0.244 0.000 0.716
As2 As 0.267 0.500 0.286
```


No. 5
Starting from DFT lattice parameters and positions (GGA-PBE), the powder diffraction line list of Th3NbAl8 was simulated for a wavelength of 1.5418 Å.
Peak positions follow from Bragg's law for the DFT cell and can differ from measured ones.

Largest 10 diffraction maxima, in order of falling intensity, 10° ≤ 2θ ≤ 90°:
hkl 0 1 2, 2θ = 19.60°, d 4.529, I = 100
hkl 0 1 8, 2θ = 31.79°, d 2.815, I = 88
hkl 1 1 0, 2θ = 32.38°, d 2.765, I = 86
hkl 1 1 6, 2θ = 37.88°, d 2.375, I = 74
hkl 1 0 10, 2θ = 37.37°, d 2.406, I = 50
hkl 2 0 2, 2θ = 38.13°, d 2.360, I = 42
hkl 1 2 8, 2θ = 57.38°, d 1.606, I = 34
hkl 0 0 6, 2θ = 19.14°, d 4.638, I = 28
hkl 2 1 10, 2θ = 61.07°, d 1.517, I = 24
hkl 2 2 0, 2θ = 67.78°, d 1.383, I = 19

```
data_Th3NbAl8
_symmetry_space_group_name_H-M 'R 3 m'
_symmetry_Int_Tables_number 160
_symmetry_space_group_name_Hall 'R 3 -2"'
_cell_length_a 5.5303
_cell_length_b 5.5303
_cell_length_c 27.8282
_cell_angle_alpha 90.00
_cell_angle_beta 90.00
_cell_angle_gamma 120.00
loop_
_atom_site_label
_atom_site_type_symbol
_atom_site_fract_x
_atom_site_fract_y
_atom_site_fract_z
Th1 Th 0.0000 0.0000 0.0000
Th2 Th 0.0000 0.0000 0.1253
Th3 Th 0.0000 0.0000 0.6201
Nb1 Nb 0.0000 0.0000 0.5044
Al1 Al 0.0000 0.0000 0.3099
Al2 Al 0.0000 0.0000 0.8120
Al3 Al 0.0017 0.5009 0.0635
Al4 Al 0.1674 0.3349 0.8918
```


No. 6
Starting from DFT lattice parameters and positions (GGA-PBE), the powder diffraction line list of KYb2Cd2Sb3 was simulated for a wavelength of 1.5418 Å.
Peak positions follow from Bragg's law for the DFT cell and can differ from measured ones.

Largest 10 diffraction maxima, in order of falling intensity, 10° ≤ 2θ ≤ 90°:
hkl 4 0 0, 2θ = 29.12°, d 3.066, I = 100
hkl 2 1 4, 2θ = 32.59°, d 2.747, I = 91
hkl 1 1 4, 2θ = 29.98°, d 2.981, I = 80
hkl 0 2 0, 2θ = 37.11°, d 2.423, I = 70
hkl 3 1 4, 2θ = 36.58°, d 2.457, I = 44
hkl 3 1 5, 2θ = 40.47°, d 2.229, I = 43
hkl 2 1 2, 2θ = 25.98°, d 3.430, I = 34
hkl 1 0 5, 2θ = 29.01°, d 3.078, I = 22
hkl 0 0 6, 2θ = 33.83°, d 2.650, I = 19
hkl 8 1 0, 2θ = 63.62°, d 1.463, I = 18

```
data_KYb2Cd2Sb3
_symmetry_space_group_name_H-M 'P n m a'
_symmetry_Int_Tables_number 62
_cell_length_a 12.267
_cell_length_b 4.846
_cell_length_c 15.898
_cell_angle_alpha 90.00
_cell_angle_beta 90.00
_cell_angle_gamma 90.00
loop_
_symmetry_equiv_pos_as_xyz
'x,y,z'
'-x,-y,-z'
'-x+1/2,-y,z+1/2'
'x+1/2,y,-z+1/2'
'x+1/2,-y+1/2,-z+1/2'
'-x+1/2,y+1/2,z+1/2'
'-x,y+1/2,-z'
'x,-y+1/2,z'
loop_
_atom_site_label
_atom_site_type_symbol
_atom_site_fract_x
_atom_site_fract_y
_atom_site_fract_z
K1 K 0.092 0.250 0.037
Yb1 Yb 0.100 0.750 0.419
Yb2 Yb 0.146 0.250 0.772
Cd1 Cd 0.123 0.250 0.275
Cd2 Cd 0.198 0.250 0.568
Sb1 Sb 0.082 0.750 0.623
Sb2 Sb 0.109 0.750 0.185
Sb3 Sb 0.207 0.750 0.902
```